[1]
Diffraction record for NdErIn2Pd4. The X-ray diffraction stick pattern is theoretical, not measured: it uses a cell relaxed with GGA-PBE and λ = 1.5418 Å (Cu Kα).
No peak broadening, texture or thermal motion is included.

Principal peaks in the range 2θ = 10–90°, sorted by position:
| d [Å] | I_rel |
| --- | --- |
| 3.996 | 8.9 |
| 2.991 | 34.4 |
| 2.402 | 97.3 |
| 2.307 | 100.0 |
| 1.664 | 31.3 |
| 1.407 | 14.7 |
| 1.350 | 30.8 |
| 1.332 | 16.9 |
| 1.201 | 8.8 |
| 1.154 | 10.7 |

Structure:
Cell lengths 4.6142, 4.6142, 9.0192 Å; angles 90.00, 90.00, 120.00 degrees
Space group P-6m2 (No. 187)
Symmetry-distinct sites (fractional):
Nd 0.0000 0.0000 0.0000 [1 per cell]
Er 0.3333 0.6667 0.5000 [1 per cell]
In 0.6667 0.3333 0.2581 [2 per cell]
Pd 0.0000 0.0000 0.3405 [2 per cell]
Pd 0.3333 0.6667 0.1717 [2 per cell]

---

[2]
Diffraction record for PrErIn2Ni4. The X-ray diffraction stick pattern is theoretical, not measured: it uses a cell relaxed with GGA-PBE and λ = 1.5418 Å (Cu Kα).
No peak broadening, texture or thermal motion is included.

Principal peaks in the range 2θ = 10–90°, sorted by position:
| d [Å] | I_rel |
| --- | --- |
| 2.910 | 100.0 |
| 2.673 | 24.0 |
| 2.580 | 30.9 |
| 2.372 | 75.4 |
| 2.152 | 26.7 |
| 2.087 | 25.8 |
| 2.082 | 24.0 |
| 2.029 | 33.4 |
| 1.901 | 19.2 |
| 1.455 | 15.8 |

Structure:
Cell lengths 4.0588, 5.1599, 7.1020 Å; angles 90.00, 90.00, 90.00 degrees
Space group Pmm2 (No. 25)
Symmetry-distinct sites (fractional):
Pr 0.0000 0.0000 0.0000 [1 per cell]
Er 0.0000 0.5000 0.5425 [1 per cell]
In 0.5000 0.0000 0.6213 [1 per cell]
In 0.5000 0.5000 0.9251 [1 per cell]
Ni 0.0000 0.0000 0.3892 [1 per cell]
Ni 0.0000 0.5000 0.1732 [1 per cell]
Ni 0.5000 0.2553 0.2815 [2 per cell]

---

[3]
Diffraction record for PrErInNi2. The X-ray diffraction stick pattern is theoretical, not measured: it uses a cell relaxed with GGA-PBE and λ = 1.5418 Å (Cu Kα).
No peak broadening, texture or thermal motion is included.

Principal peaks in the range 2θ = 10–90°, sorted by position:
| d [Å] | I_rel |
| --- | --- |
| 3.068 | 42.5 |
| 2.671 | 100.0 |
| 2.596 | 73.3 |
| 2.368 | 35.4 |
| 2.341 | 35.4 |
| 1.988 | 25.3 |
| 1.862 | 20.6 |
| 1.646 | 18.1 |
| 1.578 | 31.6 |
| 1.457 | 15.2 |

Structure:
Cell lengths 3.7241, 3.9751, 14.4784 Å; angles 90.00, 90.00, 90.00 degrees
Space group Amm2 (No. 38)
Symmetry-distinct sites (fractional):
Pr 0.0000 0.0000 0.0000 [2 per cell]
Er 0.0000 0.0000 0.7251 [2 per cell]
In 0.5000 0.0000 0.3582 [2 per cell]
Ni 0.5000 0.0000 0.1682 [2 per cell]
Ni 0.5000 0.0000 0.5690 [2 per cell]

---

[4]
Diffraction record for Er3In3NiPt2. The X-ray diffraction stick pattern is theoretical, not measured: it uses a cell relaxed with GGA-PBE and λ = 1.5418 Å (Cu Kα).
No peak broadening, texture or thermal motion is included.

Principal peaks in the range 2θ = 10–90°, sorted by position:
| d [Å] | I_rel |
| --- | --- |
| 2.670 | 100.0 |
| 2.503 | 51.1 |
| 2.476 | 76.9 |
| 2.208 | 36.2 |
| 2.078 | 21.5 |
| 1.864 | 20.1 |
| 1.648 | 14.8 |
| 1.495 | 20.6 |
| 1.424 | 17.9 |
| 1.407 | 25.9 |

Structure:
Cell lengths 7.6476, 7.6476, 3.7285 Å; angles 90.00, 90.00, 120.00 degrees
Space group P-62m (No. 189)
Symmetry-distinct sites (fractional):
Er 0.0000 0.5907 0.0000 [3 per cell]
In 0.0000 0.2495 0.5000 [3 per cell]
Ni 0.0000 0.0000 0.0000 [1 per cell]
Pt 0.3333 0.6667 0.5000 [2 per cell]

---

[5]
Diffraction record for Y2ErIn3Ni3. The X-ray diffraction stick pattern is theoretical, not measured: it uses a cell relaxed with GGA-PBE and λ = 1.5418 Å (Cu Kα).
No peak broadening, texture or thermal motion is included.

Principal peaks in the range 2θ = 10–90°, sorted by position:
| d [Å] | I_rel |
| --- | --- |
| 2.659 | 100.0 |
| 2.459 | 76.5 |
| 2.442 | 44.0 |
| 2.437 | 15.5 |
| 2.154 | 16.6 |
| 2.053 | 15.5 |
| 1.897 | 21.2 |
| 1.498 | 25.2 |
| 1.423 | 13.6 |
| 1.379 | 16.9 |

Structure:
Cell lengths 3.7943, 12.8888, 7.4691 Å; angles 90.00, 90.00, 90.00 degrees
Space group Amm2 (No. 38)
Symmetry-distinct sites (fractional):
Y 0.0000 0.2053 0.0000 [4 per cell]
Er 0.0000 0.0000 0.6162 [2 per cell]
In 0.5000 0.0000 0.9505 [2 per cell]
In 0.5000 0.1270 0.3329 [4 per cell]
Ni 0.0000 0.0000 0.2064 [2 per cell]
Ni 0.5000 0.1652 0.7046 [4 per cell]

---

[6]
Diffraction record for Er2Zn3InNi2. The X-ray diffraction stick pattern is theoretical, not measured: it uses a cell relaxed with GGA-PBE and λ = 1.5418 Å (Cu Kα).
No peak broadening, texture or thermal motion is included.

Principal peaks in the range 2θ = 10–90°, sorted by position:
| d [Å] | I_rel |
| --- | --- |
| 2.631 | 92.0 |
| 2.616 | 100.0 |
| 2.492 | 41.6 |
| 2.368 | 78.9 |
| 2.352 | 58.3 |
| 2.257 | 24.9 |
| 2.237 | 33.9 |
| 2.162 | 29.9 |
| 2.041 | 66.7 |
| 1.280 | 25.2 |

Structure:
Cell lengths 9.4405, 4.0822, 7.3512 Å; angles 90.00, 90.84, 90.00 degrees
Space group Cm (No. 8)
Symmetry-distinct sites (fractional):
Er 0.0000 0.0000 0.0000 [2 per cell]
Er 0.1333 0.0000 0.5322 [2 per cell]
Zn 0.2094 0.5000 0.8232 [2 per cell]
Zn 0.2144 0.5000 0.2064 [2 per cell]
Zn 0.4207 0.0000 0.7145 [2 per cell]
In 0.4233 0.0000 0.3171 [2 per cell]
Ni 0.2838 0.0000 0.0051 [2 per cell]
Ni 0.3421 0.5000 0.5267 [2 per cell]